This entry pairs a crystal structure of MnNbSi with its computed PXRD pattern. Radiation: Cu Ka. Structure: the GGA-PBE geometry in the Materials Project.
Neutral-atom scattering factors, no anomalous dispersion.

Most intense lines, 5 to 70 degrees two-theta, by intensity:
2θ 38.03, intensity 100, (1 1 1); 2θ 41.47, intensity 69, (2 0 1); 2θ 43.02, intensity 49, (2 1 0); 2θ 66.20, intensity 26, (3 1 1); 2θ 69.96, intensity 21, (2 1 2); 2θ 52.30, intensity 19, (0 0 2); 2θ 27.77, intensity 16, (1 1 0); 2θ 49.13, intensity 15, (3 0 0); 2θ 59.95, intensity 14, (3 1 0); 2θ 32.18, intensity 13, (2 0 0)

Structure:
```
MnNbSi
1.0
6.424 0.000 0.000
-3.212 5.563 0.000
0.000 0.000 3.498
Mn Nb Si
3 3 3
Cartesian
-2.426 4.202 0.000
0.786 1.362 0.000
4.852 0.000 0.000
-1.321 2.288 1.749
2.642 0.000 1.749
1.891 3.276 1.749
0.000 0.000 1.749
0.000 3.709 0.000
3.212 1.854 0.000
```